Theoretical XRD peak list of NdNpSe2O for Cu Kα (λ = 1.5418 Å), from a cell relaxed with GGA-PBE.
Lines closer than 0.1° are merged.

Main lines, sorted by position (15° ≤ 2θ ≤ 90°):
24.3 deg, d 3.664, rel. 29, (0 0 4); 25.1 deg, d 3.543, rel. 52, (1 0 2); 28.6 deg, d 3.117, rel. 49, (1 0 3); 31.2 deg, d 2.862, rel. 100, (1 1 0); 33.0 deg, d 2.716, rel. 32, (1 0 4); 37.9 deg, d 2.374, rel. 47, (1 0 5); 40.0 deg, d 2.256, rel. 39, (1 1 4); 44.8 deg, d 2.024, rel. 42, (2 0 0); 60.1 deg, d 1.540, rel. 25, (2 1 5); 74.1 deg, d 1.280, rel. 17, (3 1 0)

Cell lengths 4.0480, 4.0480, 14.6559 Å; angles 90.00, 90.00, 90.00 degrees
Space group P4/nmm (No. 129, origin choice 2)
One atom of each set of equivalent atoms:
Nd: 0.2500 0.2500 0.1273 x2
Np: 0.2500 0.2500 0.5787 x2
Se: 0.2500 0.2500 0.3210 x2
Se: 0.2500 0.2500 0.9091 x2
O: 0.2500 0.7500 0.5000 x2